No. 1
MgNiRu: calculated X-ray diffraction stick pattern (Cu Kα (λ = 1.5418 Å)), based on a cell relaxed with PBE.

The 10 most intense peaks (2θ = 10–90°), low angle first:
| 2θ/deg | d [Å] | Rel. int. |
| --- | --- | --- |
| 20.26 | 4.383 | 53 |
| 39.46 | 2.284 | 23 |
| 40.97 | 2.203 | 100 |
| 41.09 | 2.197 | 52 |
| 41.19 | 2.192 | 52 |
| 46.73 | 1.944 | 36 |
| 48.28 | 1.885 | 61 |
| 69.38 | 1.354 | 20 |
| 69.53 | 1.352 | 19 |
| 84.96 | 1.142 | 19 |

Structural model:
```
6
Lattice="2.358 -4.010 0.000 2.358 4.010 0.000 -1.708 0.000 4.383" Properties=species:S:1:pos:R:3 pbc="T T T"
Mg 0.000 0.000 0.000
Mg 2.358 -1.299 0.000
Ni 2.358 1.387 0.000
Ni 1.504 -0.070 2.192
Ru 1.504 2.465 2.192
Ru 1.504 -2.823 2.192
```

***

No. 2
Mg2NiSb2Ru: calculated X-ray diffraction stick pattern (Cu Kα (λ = 1.5418 Å)), based on a cell relaxed with PBE.

The 10 most intense peaks (2θ = 10–90°), low angle first:
| 2θ/deg | d [Å] | Rel. int. |
| --- | --- | --- |
| 14.16 | 6.257 | 64 |
| 25.12 | 3.545 | 100 |
| 32.38 | 2.765 | 24 |
| 33.10 | 2.707 | 23 |
| 41.11 | 2.196 | 78 |
| 41.70 | 2.166 | 74 |
| 42.01 | 2.151 | 74 |
| 75.10 | 1.265 | 24 |
| 75.75 | 1.256 | 24 |
| 76.94 | 1.239 | 26 |

Structural model:
```
12
Lattice="-3.002 6.257 3.082 3.002 -6.257 3.082 3.002 6.257 -3.082" Properties=species:S:1:pos:R:3 pbc="T T T"
Mg 1.495 1.749 0.000
Mg 1.495 -1.749 3.082
Mg 1.507 8.006 0.000
Mg 1.507 4.508 3.082
Ni 0.000 0.000 1.541
Ni 0.000 0.000 4.623
Sb 4.532 1.588 0.000
Sb 1.530 4.668 0.000
Sb 1.472 1.588 3.082
Sb -1.530 4.668 3.082
Ru 3.002 0.000 1.541
Ru 0.000 6.257 1.541
```

***

No. 3
Mg2Ni3WS8: calculated X-ray diffraction stick pattern (Cu Kα (λ = 1.5418 Å)), based on a cell relaxed with PBE.

The 10 most intense peaks (2θ = 10–90°), low angle first:
| 2θ/deg | d [Å] | Rel. int. |
| --- | --- | --- |
| 15.30 | 5.790 | 100 |
| 17.62 | 5.034 | 14 |
| 25.17 | 3.539 | 15 |
| 29.20 | 3.058 | 27 |
| 29.46 | 3.032 | 48 |
| 35.67 | 2.517 | 67 |
| 46.92 | 1.937 | 23 |
| 47.09 | 1.930 | 14 |
| 51.01 | 1.790 | 28 |
| 51.66 | 1.769 | 30 |

Structural model:
```
14
Lattice="3.539 2.043 5.882 -3.539 2.043 5.882 0.000 -4.086 5.882" Properties=species:S:1:pos:R:3 pbc="T T T"
Mg 0.000 0.000 2.361
Mg 0.000 0.000 15.285
Ni -1.769 -1.022 5.882
Ni -1.769 1.021 11.764
Ni 0.000 2.043 5.882
W 0.000 0.000 8.823
S 0.000 -1.843 7.269
S -1.596 0.921 7.269
S 0.000 0.000 4.802
S -1.596 -0.921 10.377
S 1.596 0.921 7.269
S 0.000 0.000 12.844
S 1.596 -0.921 10.377
S 0.000 1.843 10.377
```

***

No. 4
MgSc12Ni6: calculated X-ray diffraction stick pattern (Cu Kα (λ = 1.5418 Å)), based on a cell relaxed with PBE.

The 10 most intense peaks (2θ = 10–90°), low angle first:
| 2θ/deg | d [Å] | Rel. int. |
| --- | --- | --- |
| 13.78 | 6.429 | 26 |
| 19.53 | 4.546 | 16 |
| 34.16 | 2.624 | 15 |
| 37.00 | 2.430 | 100 |
| 39.65 | 2.273 | 12 |
| 42.17 | 2.143 | 14 |
| 51.24 | 1.783 | 30 |
| 61.17 | 1.515 | 14 |
| 63.03 | 1.475 | 14 |
| 73.68 | 1.286 | 11 |

Structural model:
```
19
Lattice="-4.546 4.546 4.546 4.546 -4.546 4.546 4.546 4.546 -4.546" Properties=species:S:1:pos:R:3 pbc="T T T"
Mg 0.000 0.000 0.000
Sc 4.546 -1.827 2.834
Sc 2.718 1.711 0.000
Sc 6.373 1.711 0.000
Sc 2.834 4.546 -1.827
Sc 1.711 0.000 2.718
Sc 0.000 2.718 1.711
Sc 4.546 1.827 2.834
Sc 2.834 4.546 1.827
Sc 1.711 0.000 6.373
Sc -1.827 2.834 4.546
Sc 1.827 2.834 4.546
Sc 0.000 6.373 1.711
Ni 4.546 0.000 1.182
Ni 4.546 3.364 0.000
Ni 1.182 4.546 0.000
Ni 3.364 0.000 4.546
Ni 0.000 1.182 4.546
Ni 0.000 4.546 3.364
```